Diffraction record for Na3VSiCO7. The powder X-ray diffraction pattern is theoretical, not measured: it uses DFT lattice parameters and positions (GGA+U) and a wavelength of 1.5418 Å.

Principal peaks in the range 10° ≤ 2θ ≤ 90°, sorted by position:
2theta, intensity, h k l
19.85, 30, 1 0 2
26.76, 79, 0 2 0
29.88, 35, 3 0 0
33.09, 41, 1 2 -2
33.53, 100, 2 2 0
33.86, 97, 0 0 4
48.98, 36, 4 2 0
55.13, 42, 0 4 0

Crystal structure
```
Na3VSiCO7
1.0
8.969 0.000 0.000
0.000 6.663 0.000
-0.459 0.000 10.583
Na V Si C O
12 4 4 4 28
direct
0.088 0.250 0.113
0.088 0.250 0.614
0.276 0.013 0.370
0.276 0.487 0.370
0.277 0.013 0.870
0.277 0.487 0.870
0.723 0.513 0.130
0.723 0.987 0.130
0.724 0.513 0.630
0.724 0.987 0.630
0.912 0.750 0.386
0.912 0.750 0.887
0.345 0.750 0.109
0.345 0.750 0.608
0.655 0.250 0.392
0.655 0.250 0.891
0.419 0.250 0.142
0.419 0.250 0.642
0.581 0.750 0.358
0.581 0.750 0.858
0.059 0.750 0.144
0.059 0.750 0.644
0.941 0.250 0.356
0.941 0.250 0.856
0.083 0.250 0.344
0.083 0.250 0.844
0.117 0.750 0.032
0.117 0.750 0.532
0.153 0.750 0.242
0.153 0.750 0.742
0.313 0.053 0.108
0.313 0.447 0.108
0.314 0.053 0.608
0.314 0.447 0.608
0.426 0.750 0.433
0.426 0.750 0.933
0.460 0.250 0.297
0.461 0.250 0.797
0.539 0.750 0.203
0.540 0.750 0.703
0.574 0.250 0.067
0.574 0.250 0.567
0.686 0.553 0.392
0.686 0.947 0.392
0.687 0.553 0.892
0.687 0.947 0.892
0.847 0.250 0.258
0.847 0.250 0.758
0.883 0.250 0.468
0.883 0.250 0.968
0.917 0.750 0.156
0.917 0.750 0.656
```